Diffraction record for BaTi4AlO7. The powder diffractogram is computed, not measured: it uses a crystal structure in the Materials Project, relaxed with PBE and Cu Kα, 1.54184 Å.

Cell and atoms:
Unit cell a=6.0570 b=6.0570 c=10.2758 alpha=90.00 beta=90.00 gamma=120.00
Atoms (fractional coordinates):
Ba  0.3333  0.6667  0.0000
Ba  0.6667  0.3333  0.5000
Ti  0.0000  0.0000  0.4824
Ti  0.0000  0.0000  0.9824
Ti  0.1647  0.3294  0.6836
Ti  0.1647  0.8353  0.6836
Ti  0.3294  0.1647  0.1836
Ti  0.6706  0.8353  0.6836
Ti  0.8353  0.1647  0.1836
Ti  0.8353  0.6706  0.1836
Al  0.3333  0.6667  0.3734
Al  0.6667  0.3333  0.8734
O  0.0000  0.0000  0.2885
O  0.0000  0.0000  0.7885
O  0.0323  0.5161  0.2620
O  0.1863  0.3725  0.4920
O  0.1863  0.8137  0.4920
O  0.3725  0.1863  0.9920
O  0.4839  0.5161  0.2620
O  0.4839  0.9677  0.2620
O  0.5161  0.0323  0.7620
O  0.5161  0.4839  0.7620
O  0.6275  0.8137  0.4920
O  0.8137  0.1863  0.9920
O  0.8137  0.6275  0.9920
O  0.9677  0.4839  0.7620

Most intense lines, 2θ from 10° to 90°, low angle first:
- (1 0 1), 2θ 19.0, I = 33
- (1 1 0), 2θ 29.5, I = 33
- (1 0 3), 2θ 31.2, I = 64
- (1 1 2), 2θ 34.4, I = 92
- (0 0 4), 2θ 34.9, I = 26
- (2 0 1), 2θ 35.3, I = 100
- (2 1 3), 2θ 53.4, I = 33
- (3 0 2), 2θ 55.5, I = 22
- (2 0 5), 2θ 56.9, I = 37
- (2 2 0), 2θ 61.2, I = 33

=====

Diffraction record for NiTe8Mo6. The powder diffractogram is computed, not measured: it uses a crystal structure in the Materials Project, relaxed with PBE and Cu Kα, 1.54184 Å.

Cell and atoms:
Unit cell a=7.1549 b=7.1831 c=7.2375 alpha=91.22 beta=95.46 gamma=90.05
Atoms (fractional coordinates):
Ni  0.0000  0.0000  0.0000
Te  0.0747  0.3242  0.1304
Te  0.2781  0.8192  0.8673
Te  0.3771  0.2971  0.7036
Te  0.4414  0.6948  0.3595
Te  0.5608  0.1878  0.2321
Te  0.7600  0.9553  0.7364
Te  0.9035  0.4418  0.6220
Te  0.9645  0.8418  0.2987
Mo  0.4202  0.4918  0.0346
Mo  0.5861  0.6150  0.7391
Mo  0.6320  0.8286  0.0698
Mo  0.7199  0.3116  0.9160
Mo  0.7625  0.5120  0.2402
Mo  0.9286  0.6393  0.9504

Most intense lines, 2θ from 10° to 90°, low angle first:
- (0 0 1), 2θ 12.3, I = 100
- (1 0 0), 2θ 12.4, I = 42
- (1 2 0), 2θ 27.9, I = 31
- (0 1 2), 2θ 28.0, I = 40
- (-2 1 1), 2θ 29.7, I = 48
- (2 2 1), 2θ 38.8, I = 41
- (3 1 -1), 2θ 40.8, I = 55
- (-1 3 1), 2θ 41.6, I = 41
- (1 -1 3), 2θ 42.5, I = 38
- (2 2 2), 2θ 45.5, I = 62

=====

Diffraction record for Ca3Mg4Zn11. The powder diffractogram is computed, not measured: it uses a crystal structure in the Materials Project, relaxed with PBE and Cu Kα, 1.54184 Å.

Cell and atoms:
Unit cell a=9.3445 b=9.3445 c=9.3537 alpha=90.00 beta=90.00 gamma=120.00
Atoms (fractional coordinates):
Ca  0.1997  0.3994  0.2500
Ca  0.1997  0.8003  0.2500
Ca  0.3994  0.1997  0.7500
Ca  0.6006  0.8003  0.2500
Ca  0.8003  0.1997  0.7500
Ca  0.8003  0.6006  0.7500
Mg  0.0000  0.0000  0.2500
Mg  0.0000  0.0000  0.7500
Mg  0.0000  0.5000  0.0000
Mg  0.0000  0.5000  0.5000
Mg  0.5000  0.0000  0.0000
Mg  0.5000  0.0000  0.5000
Mg  0.5000  0.5000  0.0000
Mg  0.5000  0.5000  0.5000
Zn  0.1456  0.5728  0.7500
Zn  0.1541  0.3082  0.5884
Zn  0.1541  0.3082  0.9116
Zn  0.1541  0.8459  0.5884
Zn  0.1541  0.8459  0.9116
Zn  0.3082  0.1541  0.0884
Zn  0.3082  0.1541  0.4116
Zn  0.3333  0.6667  0.5072
Zn  0.3333  0.6667  0.9928
Zn  0.4272  0.5728  0.7500
Zn  0.4272  0.8544  0.7500
Zn  0.5728  0.1456  0.2500
Zn  0.5728  0.4272  0.2500
Zn  0.6667  0.3333  0.0072
Zn  0.6667  0.3333  0.4928
Zn  0.6918  0.8459  0.5884
Zn  0.6918  0.8459  0.9116
Zn  0.8459  0.1541  0.0884
Zn  0.8459  0.1541  0.4116
Zn  0.8459  0.6918  0.0884
Zn  0.8459  0.6918  0.4116
Zn  0.8544  0.4272  0.2500

Most intense lines, 2θ from 10° to 90°, low angle first:
- (1 0 1), 2θ 14.5, I = 61
- (2 0 0), 2θ 22.0, I = 22
- (3 0 1), 2θ 34.6, I = 54
- (2 1 2), 2θ 35.1, I = 24
- (2 0 3), 2θ 36.4, I = 100
- (2 2 0), 2θ 38.5, I = 96
- (1 0 4), 2θ 40.2, I = 26
- (2 1 3), 2θ 41.4, I = 46
- (2 2 2), 2θ 43.3, I = 50
- (4 0 0), 2θ 44.8, I = 39

=====

Diffraction record for CuPb2Cl2O4. The powder diffractogram is computed, not measured: it uses a crystal structure in the Materials Project, relaxed with PBE and Cu Kα, 1.54184 Å.

Cell and atoms:
Unit cell a=5.5984 b=5.5984 c=5.7722 alpha=90.00 beta=90.00 gamma=90.00
Atoms (fractional coordinates):
Cu  0.0000  0.0000  0.0000
Pb  0.0000  0.5000  0.7718
Pb  0.5000  0.0000  0.7718
Cl  0.0000  0.0000  0.4633
Cl  0.5000  0.5000  0.5239
O  0.2304  0.2304  0.9613
O  0.2304  0.7696  0.9613
O  0.7696  0.2304  0.9613
O  0.7696  0.7696  0.9613

Most intense lines, 2θ from 10° to 90°, low angle first:
- (0 0 1), 2θ 15.4, I = 100
- (1 1 0), 2θ 22.5, I = 30
- (1 1 1), 2θ 27.3, I = 93
- (2 0 0), 2θ 32.0, I = 44
- (2 0 1), 2θ 35.6, I = 42
- (1 1 2), 2θ 38.6, I = 65
- (2 2 0), 2θ 45.8, I = 25
- (2 2 1), 2θ 48.6, I = 22
- (3 1 1), 2θ 54.2, I = 29
- (3 1 2), 2θ 61.4, I = 33

=====

Diffraction record for CeTa7O19. The powder diffractogram is computed, not measured: it uses a crystal structure in the Materials Project, relaxed with PBE and Cu Kα, 1.54184 Å.

Cell and atoms:
Unit cell a=6.2943 b=6.2943 c=20.1839 alpha=90.00 beta=90.00 gamma=120.00
Atoms (fractional coordinates):
Ce  0.0000  0.0000  0.0000
Ce  0.0000  0.0000  0.5000
Ta  0.3347  0.0259  0.1560
Ta  0.3347  0.0259  0.3440
Ta  0.3347  0.3088  0.6560
Ta  0.3347  0.3088  0.8440
Ta  0.6667  0.3333  0.0000
Ta  0.6667  0.3333  0.5000
Ta  0.6912  0.0259  0.6560
Ta  0.6912  0.0259  0.8440
Ta  0.6912  0.6653  0.1560
Ta  0.6912  0.6653  0.3440
Ta  0.9741  0.3088  0.1560
Ta  0.9741  0.3088  0.3440
Ta  0.9741  0.6653  0.6560
Ta  0.9741  0.6653  0.8440
O  0.0000  0.0000  0.1325
O  0.0000  0.0000  0.3675
O  0.0000  0.0000  0.6325
O  0.0000  0.0000  0.8675
O  0.0882  0.4212  0.6533
O  0.0882  0.4212  0.8467
O  0.0882  0.6670  0.1533
O  0.0882  0.6670  0.3467
O  0.2956  0.0428  0.2500
O  0.2956  0.2528  0.7500
O  0.3330  0.4212  0.1533
O  0.3330  0.4212  0.3467
O  0.3330  0.9118  0.6533
O  0.3330  0.9118  0.8467
O  0.3841  0.0950  0.0564
O  0.3841  0.0950  0.4436
O  0.3841  0.2892  0.5564
O  0.3841  0.2892  0.9436
O  0.5788  0.6670  0.6533
O  0.5788  0.6670  0.8467
O  0.5788  0.9118  0.1533
O  0.5788  0.9118  0.3467
O  0.6667  0.3333  0.1655
O  0.6667  0.3333  0.3345
O  0.6667  0.3333  0.6655
O  0.6667  0.3333  0.8345
O  0.7108  0.0950  0.5564
O  0.7108  0.0950  0.9436
O  0.7108  0.6159  0.0564
O  0.7108  0.6159  0.4436
O  0.7472  0.0428  0.7500
O  0.7472  0.7044  0.2500
O  0.9050  0.2892  0.0564
O  0.9050  0.2892  0.4436
O  0.9050  0.6159  0.5564
O  0.9050  0.6159  0.9436
O  0.9572  0.2528  0.2500
O  0.9572  0.7044  0.7500

Most intense lines, 2θ from 10° to 90°, low angle first:
- (1 0 0), 2θ 16.3, I = 29
- (0 0 4), 2θ 17.6, I = 25
- (0 0 6), 2θ 26.5, I = 64
- (1 1 1), 2θ 28.7, I = 100
- (1 1 2), 2θ 29.7, I = 40
- (1 1 4), 2θ 33.6, I = 47
- (1 1 5), 2θ 36.2, I = 50
- (3 0 0), 2θ 50.2, I = 40
- (1 1 10), 2θ 54.0, I = 22
- (3 0 6), 2θ 57.7, I = 39

=====

What did the second record say?
Diffraction record for NiTe8Mo6. The powder diffractogram is computed, not measured: it uses a crystal structure in the Materials Project, relaxed with PBE and Cu Kα, 1.54184 Å.

Cell and atoms:
Unit cell a=7.1549 b=7.1831 c=7.2375 alpha=91.22 beta=95.46 gamma=90.05
Atoms (fractional coordinates):
Ni  0.0000  0.0000  0.0000
Te  0.0747  0.3242  0.1304
Te  0.2781  0.8192  0.8673
Te  0.3771  0.2971  0.7036
Te  0.4414  0.6948  0.3595
Te  0.5608  0.1878  0.2321
Te  0.7600  0.9553  0.7364
Te  0.9035  0.4418  0.6220
Te  0.9645  0.8418  0.2987
Mo  0.4202  0.4918  0.0346
Mo  0.5861  0.6150  0.7391
Mo  0.6320  0.8286  0.0698
Mo  0.7199  0.3116  0.9160
Mo  0.7625  0.5120  0.2402
Mo  0.9286  0.6393  0.9504

Most intense lines, 2θ from 10° to 90°, low angle first:
- (0 0 1), 2θ 12.3, I = 100
- (1 0 0), 2θ 12.4, I = 42
- (1 2 0), 2θ 27.9, I = 31
- (0 1 2), 2θ 28.0, I = 40
- (-2 1 1), 2θ 29.7, I = 48
- (2 2 1), 2θ 38.8, I = 41
- (3 1 -1), 2θ 40.8, I = 55
- (-1 3 1), 2θ 41.6, I = 41
- (1 -1 3), 2θ 42.5, I = 38
- (2 2 2), 2θ 45.5, I = 62

=====

Repeat the first record exactly.
Diffraction record for BaTi4AlO7. The powder diffractogram is computed, not measured: it uses a crystal structure in the Materials Project, relaxed with PBE and Cu Kα, 1.54184 Å.

Cell and atoms:
Unit cell a=6.0570 b=6.0570 c=10.2758 alpha=90.00 beta=90.00 gamma=120.00
Atoms (fractional coordinates):
Ba  0.3333  0.6667  0.0000
Ba  0.6667  0.3333  0.5000
Ti  0.0000  0.0000  0.4824
Ti  0.0000  0.0000  0.9824
Ti  0.1647  0.3294  0.6836
Ti  0.1647  0.8353  0.6836
Ti  0.3294  0.1647  0.1836
Ti  0.6706  0.8353  0.6836
Ti  0.8353  0.1647  0.1836
Ti  0.8353  0.6706  0.1836
Al  0.3333  0.6667  0.3734
Al  0.6667  0.3333  0.8734
O  0.0000  0.0000  0.2885
O  0.0000  0.0000  0.7885
O  0.0323  0.5161  0.2620
O  0.1863  0.3725  0.4920
O  0.1863  0.8137  0.4920
O  0.3725  0.1863  0.9920
O  0.4839  0.5161  0.2620
O  0.4839  0.9677  0.2620
O  0.5161  0.0323  0.7620
O  0.5161  0.4839  0.7620
O  0.6275  0.8137  0.4920
O  0.8137  0.1863  0.9920
O  0.8137  0.6275  0.9920
O  0.9677  0.4839  0.7620

Most intense lines, 2θ from 10° to 90°, low angle first:
- (1 0 1), 2θ 19.0, I = 33
- (1 1 0), 2θ 29.5, I = 33
- (1 0 3), 2θ 31.2, I = 64
- (1 1 2), 2θ 34.4, I = 92
- (0 0 4), 2θ 34.9, I = 26
- (2 0 1), 2θ 35.3, I = 100
- (2 1 3), 2θ 53.4, I = 33
- (3 0 2), 2θ 55.5, I = 22
- (2 0 5), 2θ 56.9, I = 37
- (2 2 0), 2θ 61.2, I = 33